Entry 1:
Diffraction record for Sr2MnSbO6. The X-ray powder pattern is calculated, not measured: it uses a PBE+U-relaxed structure and Cu Kα (weighted mean of Kα1 and Kα2).
No peak broadening, texture or thermal motion is included.

Cell and atoms:
a = 5.5284 Å, b = 5.5284 Å, c = 8.5004 Å
α = 90.00°, β = 90.00°, γ = 90.00°
Space group I4/m (No. 87)
One atom of each set of equivalent atoms:
Sr (0.0000, 0.5000, 0.2500)
Mn (0.0000, 0.0000, 0.0000)
Sb (0.0000, 0.0000, 0.5000)
O (0.0000, 0.0000, 0.2665)
O (0.1964, 0.2955, 0.0000)

Peak list (12 most intense, 10 to 80 degrees two-theta, sorted by position)
| (hkl) | two_theta | I/Imax |
| --- | --- | --- |
| 1 0 1 | 19.15 | 14 |
| 1 1 2 | 31.08 | 100 |
| 2 0 0 | 32.39 | 50 |
| 2 1 1 | 37.90 | 7 |
| 0 0 4 | 42.54 | 21 |
| 2 2 0 | 46.46 | 29 |
| 2 0 4 | 54.46 | 22 |
| 1 3 2 | 56.96 | 40 |
| 2 2 4 | 64.81 | 20 |
| 4 0 0 | 67.81 | 8 |
| 1 1 6 | 70.73 | 10 |
| 4 2 0 | 77.16 | 9 |

=====

Entry 2:
Diffraction record for Li3Mn2Ni5O12. The X-ray powder pattern is calculated, not measured: it uses a PBE+U-relaxed structure and Cu Kα (weighted mean of Kα1 and Kα2).
No peak broadening, texture or thermal motion is included.

Cell and atoms:
a = 4.9413 Å, b = 8.8188 Å, c = 9.7819 Å
α = 90.00°, β = 100.87°, γ = 90.00°
Space group C2 (No. 5)
One atom of each set of equivalent atoms:
Li (0.0000, 0.0000, 0.0000)
Li (0.2482, 0.8415, 0.2451)
Mn (0.0000, 0.1682, 0.5000)
Mn (0.0000, 0.6606, 0.0000)
Ni (0.0000, 0.3368, 0.0000)
Ni (0.0000, 0.5029, 0.5000)
Ni (0.0000, 0.8376, 0.5000)
Ni (0.2475, 0.1633, 0.2465)
O (0.1093, 0.3202, 0.3858)
O (0.1204, 0.5033, 0.8915)
O (0.1287, 0.1872, 0.8886)
O (0.1299, 0.6683, 0.3864)
O (0.1396, 0.8132, 0.8890)
O (0.1479, 0.0111, 0.3893)

Peak list (12 most intense, 10 to 80 degrees two-theta, sorted by position)
| (hkl) | two_theta | I/Imax |
| --- | --- | --- |
| 0 0 2 | 18.47 | 52 |
| 0 2 0 | 20.14 | 26 |
| 1 1 -1 | 21.41 | 23 |
| 1 1 1 | 24.25 | 34 |
| 0 2 2 | 27.46 | 13 |
| 0 0 4 | 37.45 | 14 |
| 1 3 1 | 37.86 | 31 |
| 1 3 -3 | 43.54 | 100 |
| 2 0 2 | 44.92 | 44 |
| 2 0 -6 | 63.27 | 26 |
| 1 3 5 | 63.78 | 25 |
| 3 3 -1 | 64.90 | 26 |

=====

Entry 3:
Diffraction record for KGdSnWO6. The X-ray powder pattern is calculated, not measured: it uses a PBE+U-relaxed structure and Cu Kα (weighted mean of Kα1 and Kα2).
No peak broadening, texture or thermal motion is included.

Cell and atoms:
a = 5.9810 Å, b = 5.9810 Å, c = 8.4263 Å
α = 90.00°, β = 90.00°, γ = 90.00°
Space group P4_2/mmc (No. 131)
One atom of each set of equivalent atoms:
K (0.0000, 0.0000, 0.2500)
Gd (0.0000, 0.5000, 0.0000)
Sn (0.5000, 0.5000, 0.2500)
W (0.0000, 0.5000, 0.5000)
O (0.0000, 0.5000, 0.2691)
O (0.2383, 0.2758, 0.5000)

Peak list (12 most intense, 10 to 80 degrees two-theta, sorted by position)
| (hkl) | two_theta | I/Imax |
| --- | --- | --- |
| 1 1 0 | 21.03 | 24 |
| 2 0 0 | 29.92 | 100 |
| 2 2 0 | 42.76 | 20 |
| 0 0 4 | 42.93 | 10 |
| 3 1 0 | 48.13 | 7 |
| 3 1 2 | 53.08 | 27 |
| 2 0 4 | 53.18 | 14 |
| 4 0 0 | 62.07 | 6 |
| 2 2 4 | 62.20 | 12 |
| 4 2 0 | 70.42 | 12 |
| 1 1 6 | 70.68 | 6 |
| 4 0 4 | 78.43 | 6 |

=====

Entry 4:
Diffraction record for MgV2Cu2O6. The X-ray powder pattern is calculated, not measured: it uses a PBE+U-relaxed structure and Cu Kα (weighted mean of Kα1 and Kα2).
No peak broadening, texture or thermal motion is included.

Cell and atoms:
a = 5.0837 Å, b = 5.1623 Å, c = 5.8885 Å
α = 91.52°, β = 114.02°, γ = 119.39°
Space group P1 (No. 1)
One atom of each set of equivalent atoms:
Mg (0.0000, 0.0000, 0.0000)
V (0.3096, 0.6565, 0.9567)
V (0.6911, 0.3441, 0.0440)
Cu (0.3525, 0.1720, 0.5133)
Cu (0.6595, 0.8377, 0.4871)
O (0.1555, 0.7329, 0.2039)
O (0.2164, 0.9437, 0.7897)
O (0.4771, 0.4115, 0.2105)
O (0.5238, 0.5882, 0.7917)
O (0.7865, 0.0579, 0.2114)
O (0.8451, 0.2662, 0.7943)

Peak list (12 most intense, 10 to 80 degrees two-theta, sorted by position)
| (hkl) | two_theta | I/Imax |
| --- | --- | --- |
| 0 1 -1 | 22.81 | 20 |
| 1 0 0 | 22.92 | 24 |
| -1 1 1 | 23.45 | 16 |
| 1 -2 0 | 34.75 | 100 |
| -2 1 1 | 35.33 | 37 |
| 1 -2 2 | 49.49 | 30 |
| 1 1 1 | 49.68 | 49 |
| 1 1 -3 | 50.23 | 19 |
| -1 2 2 | 50.53 | 17 |
| -2 1 3 | 51.19 | 28 |
| 0 3 -1 | 61.88 | 17 |
| -3 3 1 | 63.09 | 17 |